This entry pairs a crystal structure of CdSBr2 with its theoretical X-ray powder pattern. Radiation: Cu Kα (weighted mean of Kα1 and Kα2). Structure: a structure optimized by DFT (GGA-PBE).
Peak positions follow from Bragg's law for the DFT cell and can differ from measured ones.

Most intense lines, 10 to 90 degrees two-theta, in order of rising 2θ:
| index | d_spacing | I/Imax |
| --- | --- | --- |
| 0 1 0 | 7.289 | 33 |
| 0 1 1 | 5.247 | 58 |
| 1 -1 0 | 3.818 | 33 |
| 1 0 -1 | 3.715 | 100 |
| 1 2 0 | 3.143 | 51 |
| 0 1 3 | 2.360 | 39 |

Structure:
```
data_CdSBr2
_space_group_name_H-M_alt 'P -1'
_space_group_IT_number 2
_cell_length_a 5.083
_cell_length_b 7.372
_cell_length_c 7.663
_cell_angle_alpha 87.17
_cell_angle_beta 76.33
_cell_angle_gamma 81.42
loop_
_space_group_symop_operation_xyz
'x,y,z'
'-x,-y,-z'
loop_
_atom_site_label
_atom_site_fract_x
_atom_site_fract_y
_atom_site_fract_z
Cd1 0.038 0.148 0.300
S1 0.440 0.132 0.015
Br1 0.087 0.196 0.632
Br2 0.360 0.626 0.793
```